SmHoGaPd: computed powder XRD pattern (copper Kα), based on the PBE geometry in Alexandria.
Kinematic intensities with the Lorentz-polarization factor, no thermal factor.

Principal peaks in the range 2θ = 5–70°, by angle:
- 2θ = 25.49°, d 3.495, rel. 20
- 2θ = 31.94°, d 2.802, rel. 100
- 2θ = 32.20°, d 2.780, rel. 27
- 2θ = 33.84°, d 2.649, rel. 37
- 2θ = 38.06°, d 2.364, rel. 27
- 2θ = 39.49°, d 2.282, rel. 52
- 2θ = 40.14°, d 2.247, rel. 30
- 2θ = 48.06°, d 1.893, rel. 18
- 2θ = 52.36°, d 1.747, rel. 14
- 2θ = 53.48°, d 1.713, rel. 30
- 2θ = 63.50°, d 1.465, rel. 15
- 2θ = 64.36°, d 1.447, rel. 16

Atomic structure:
a = 4.4931 Å, b = 3.7861 Å, c = 11.1214 Å
α = 90.00°, β = 90.00°, γ = 90.00°
Space group Amm2 (No. 38)
Inequivalent atoms, fractional coordinates:
Sm (0.0000, 0.0000, 0.0000) [2 per cell]
Ho (0.5000, 0.0000, 0.7147) [2 per cell]
Ga (0.5000, 0.0000, 0.4301) [2 per cell]
Pd (0.0000, 0.0000, 0.2791) [2 per cell]